Diffraction record for YHf2Ge4. The X-ray powder pattern is theoretical, not measured: it uses a GGA-PBE-relaxed structure and CuKα.
Neutral-atom scattering factors, no anomalous dispersion.

Top 6 peaks for 10 to 90 degrees two-theta, by angle:
hkl 0 0 2, 12.8°, d = 6.913 Å, rel. 45; hkl 1 0 1, 18.5°, d = 4.799 Å, rel. 35; hkl 1 1 0, 24.6°, d = 3.619 Å, rel. 81; hkl 2 0 0, 35.1°, d = 2.559 Å, rel. 92; hkl 1 0 5, 37.0°, d = 2.433 Å, rel. 100; hkl 2 1 5, 51.9°, d = 1.763 Å, rel. 76

Cell and atoms:
```
data_YHf2Ge4
_cell_length_a 5.118
_cell_length_b 5.118
_cell_length_c 13.825
_cell_angle_alpha 90.00
_cell_angle_beta 90.00
_cell_angle_gamma 90.00
_space_group_name_H-M_alt 'I 4/m m m'
_space_group_IT_number 139
_space_group_name_Hall '-I 4 2'
loop_
_atom_site_label
_atom_site_fract_x
_atom_site_fract_y
_atom_site_fract_z
_atom_site_occupancy
Y1 0.000 0.000 0.000 1
Hf1 0.000 0.000 0.399 1
Ge1 0.000 0.000 0.206 1
Ge2 0.000 0.500 0.000 1
```